This entry pairs a crystal structure of PrGd2Mg3ZnIn2 with its calculated powder X-ray diffraction pattern. Radiation: Cu Ka. Structure: a structure optimized by DFT (GGA-PBE).
Intensities are scaled so that the largest is 1000.

Structural model:
a = 4.656 Å, b = 13.198 Å, c = 7.498 Å
α = 90.00°, β = 90.00°, γ = 90.00°
Space group Amm2 (No. 38)
One atom of each set of equivalent atoms:
Pr1 0.000 0.000 0.000
Gd1 0.000 0.206 0.616
Mg1 0.500 0.000 0.649
Mg2 0.500 0.118 0.296
Zn1 0.000 0.000 0.420
In1 0.500 0.170 0.910

The 10 most intense peaks (15 to 90 degrees two-theta), by intensity:
- 30.39°, I 1000
- 33.56°, I 897
- 30.62°, I 537
- 38.68°, I 414
- 33.28°, I 411
- 23.45°, I 346
- 41.56°, I 330
- 41.08°, I 277
- 64.92°, I 220
- 53.89°, I 205

This entry pairs a crystal structure of Tb2GdMg3In3 with its calculated powder X-ray diffraction pattern. Radiation: Cu Ka. Structure: a structure optimized by DFT (GGA-PBE).
Intensities are scaled so that the largest is 1000.

Structural model:
a = 4.690 Å, b = 13.074 Å, c = 7.532 Å
α = 90.00°, β = 90.00°, γ = 90.00°
Space group Amm2 (No. 38)
One atom of each set of equivalent atoms:
Tb1 0.000 0.217 0.000
Gd1 0.000 0.000 0.652
Mg1 0.500 0.000 0.975
Mg2 0.500 0.121 0.338
In1 0.000 0.000 0.216
In2 0.500 0.167 0.717

The 10 most intense peaks (15 to 90 degrees two-theta), by intensity:
- 33.44°, I 1000
- 30.42°, I 517
- 27.31°, I 252
- 38.38°, I 233
- 23.60°, I 179
- 54.30°, I 177
- 36.40°, I 157
- 41.34°, I 145
- 66.29°, I 135
- 50.39°, I 132

This entry pairs a crystal structure of TbGd2Mg3TlIn2 with its calculated powder X-ray diffraction pattern. Radiation: Cu Ka. Structure: a structure optimized by DFT (GGA-PBE).
Intensities are scaled so that the largest is 1000.

Structural model:
a = 4.686 Å, b = 13.098 Å, c = 7.567 Å
α = 90.00°, β = 90.00°, γ = 90.00°
Space group Amm2 (No. 38)
One atom of each set of equivalent atoms:
Tb1 0.000 0.000 0.000
Gd1 0.000 0.216 0.648
Mg1 0.500 0.000 0.675
Mg2 0.500 0.121 0.311
Tl1 0.000 0.000 0.432
In1 0.500 0.167 0.932

The 10 most intense peaks (15 to 90 degrees two-theta), by intensity:
- 33.37°, I 1000
- 30.37°, I 323
- 27.22°, I 297
- 23.52°, I 222
- 38.42°, I 220
- 41.23°, I 203
- 65.20°, I 184
- 18.94°, I 167
- 41.34°, I 150
- 54.14°, I 150

This entry pairs a crystal structure of Gd3Mg3Zn2In with its calculated powder X-ray diffraction pattern. Radiation: Cu Ka. Structure: a structure optimized by DFT (GGA-PBE).
Intensities are scaled so that the largest is 1000.

Structural model:
a = 7.3273 Å, b = 7.3273 Å, c = 4.6506 Å
α = 90.00°, β = 90.00°, γ = 120.00°
Space group P-62m (No. 189)
One atom of each set of equivalent atoms:
Gd1 0.0000 0.5660 0.0000
Mg1 0.0000 0.2483 0.5000
Zn1 0.3333 0.6667 0.5000
In1 0.0000 0.0000 0.0000

The 10 most intense peaks (15 to 90 degrees two-theta), by intensity:
- 34.21°, I 1000
- 31.08°, I 449
- 28.12°, I 366
- 19.08°, I 272
- 38.72°, I 228
- 55.85°, I 199
- 48.54°, I 165
- 37.50°, I 157
- 67.21°, I 137
- 51.96°, I 137

This entry pairs a crystal structure of NdGdIn4Pd2 with its calculated powder X-ray diffraction pattern. Radiation: Cu Ka. Structure: a structure optimized by DFT (GGA-PBE).
Intensities are scaled so that the largest is 1000.

Structural model:
a = 4.598 Å, b = 7.465 Å, c = 5.831 Å
α = 90.00°, β = 113.06°, γ = 90.00°
Space group Pm (No. 6)
One atom of each set of equivalent atoms:
Nd1 0.000 0.000 0.000
Gd1 0.847 0.500 0.695
In1 0.287 0.203 0.574
In2 0.561 0.301 0.123
Pd1 0.129 0.500 0.261
Pd2 0.718 0.000 0.434

The 10 most intense peaks (15 to 90 degrees two-theta), by intensity:
- 31.99°, I 1000
- 33.95°, I 703
- 39.19°, I 424
- 39.97°, I 372
- 35.56°, I 307
- 71.49°, I 198
- 42.14°, I 178
- 48.79°, I 163
- 40.08°, I 160
- 33.40°, I 136

This entry pairs a crystal structure of NdGdIn4Pt2 with its calculated powder X-ray diffraction pattern. Radiation: Cu Ka. Structure: a structure optimized by DFT (GGA-PBE).
Intensities are scaled so that the largest is 1000.

Structural model:
a = 7.387 Å, b = 4.576 Å, c = 10.710 Å
α = 90.00°, β = 90.00°, γ = 90.00°
Space group Amm2 (No. 38)
One atom of each set of equivalent atoms:
Nd1 0.000 0.000 0.000
Gd1 0.500 0.000 0.845
In1 0.203 0.000 0.286
In2 0.300 0.000 0.560
Pt1 0.000 0.000 0.716
Pt2 0.500 0.000 0.128

The 10 most intense peaks (15 to 90 degrees two-theta), by intensity:
- 32.25°, I 1000
- 34.09°, I 894
- 40.29°, I 587
- 39.38°, I 500
- 35.67°, I 433
- 42.54°, I 315
- 54.18°, I 306
- 64.19°, I 213
- 16.55°, I 164
- 72.22°, I 164

This entry pairs a crystal structure of Gd4In20Ni11 with its calculated powder X-ray diffraction pattern. Radiation: Cu Ka. Structure: a structure optimized by DFT (GGA-PBE).
Intensities are scaled so that the largest is 1000.

Structural model:
a = 22.690 Å, b = 4.356 Å, c = 16.661 Å
α = 90.00°, β = 124.59°, γ = 90.00°
Space group C2/m (No. 12)
One atom of each set of equivalent atoms:
Gd1 0.119 0.000 0.332
Gd2 0.229 0.000 0.825
In1 0.009 0.000 0.095
In2 0.041 0.500 0.378
In3 0.064 0.000 0.790
In4 0.102 0.500 0.992
In5 0.111 0.500 0.691
In6 0.115 0.000 0.551
In7 0.128 0.500 0.196
In8 0.202 0.000 0.003
In9 0.203 0.500 0.502
In10 0.246 0.000 0.291
Ni1 0.000 0.500 0.500
Ni2 0.006 0.500 0.194
Ni3 0.022 0.000 0.600
Ni4 0.135 0.000 0.103
Ni5 0.153 0.500 0.879
Ni6 0.247 0.500 0.383

The 10 most intense peaks (15 to 90 degrees two-theta), by intensity:
- 34.99°, I 1000
- 41.45°, I 766
- 35.73°, I 458
- 35.23°, I 379
- 34.32°, I 362
- 31.36°, I 254
- 34.13°, I 231
- 42.43°, I 231
- 36.78°, I 177
- 68.26°, I 170

This entry pairs a crystal structure of GdInNi5 with its calculated powder X-ray diffraction pattern. Radiation: Cu Ka. Structure: a structure optimized by DFT (GGA-PBE).
Intensities are scaled so that the largest is 1000.

Structural model:
a = 4.8635 Å, b = 4.8635 Å, c = 29.5768 Å
α = 90.00°, β = 90.00°, γ = 120.00°
Space group R-3m (No. 166, hexagonal axes)
One atom of each set of equivalent atoms:
Gd1 0.0000 0.0000 0.0000
Gd2 0.0000 0.0000 0.5000
In1 0.0000 0.0000 0.1102
Ni1 0.0000 0.0000 0.1978
Ni2 0.0000 0.0000 0.3335
Ni3 0.0017 0.5008 0.0681

The 10 most intense peaks (15 to 90 degrees two-theta), by intensity:
- 36.97°, I 1000
- 37.14°, I 828
- 41.40°, I 724
- 32.22°, I 585
- 46.45°, I 535
- 43.06°, I 371
- 78.70°, I 317
- 45.30°, I 296
- 66.73°, I 280
- 48.28°, I 274

This entry pairs a crystal structure of Gd2In8Ni with its calculated powder X-ray diffraction pattern. Radiation: Cu Ka. Structure: a structure optimized by DFT (GGA-PBE).
Intensities are scaled so that the largest is 1000.

Structural model:
a = 4.647 Å, b = 4.647 Å, c = 12.155 Å
α = 90.00°, β = 90.00°, γ = 90.00°
Space group P4/mmm (No. 123)
One atom of each set of equivalent atoms:
Gd1 0.000 0.000 0.190
In1 0.000 0.500 0.000
In2 0.000 0.500 0.379
In3 0.500 0.500 0.191
Ni1 0.000 0.000 0.500

The 10 most intense peaks (15 to 90 degrees two-theta), by intensity:
- 35.17°, I 1000
- 38.76°, I 548
- 30.94°, I 411
- 67.85°, I 282
- 54.64°, I 258
- 36.98°, I 204
- 55.97°, I 183
- 67.97°, I 160
- 68.99°, I 126
- 65.34°, I 94

This entry pairs a crystal structure of SmGdInNi2 with its calculated powder X-ray diffraction pattern. Radiation: Cu Ka. Structure: a structure optimized by DFT (GGA-PBE).
Intensities are scaled so that the largest is 1000.

Structural model:
a = 3.761 Å, b = 3.925 Å, c = 14.354 Å
α = 90.00°, β = 90.00°, γ = 90.00°
Space group Amm2 (No. 38)
One atom of each set of equivalent atoms:
Sm1 0.000 0.000 0.000
Gd1 0.000 0.000 0.274
In1 0.500 0.000 0.638
Ni1 0.500 0.000 0.436
Ni2 0.500 0.000 0.835

The 10 most intense peaks (15 to 90 degrees two-theta), by intensity:
- 33.59°, I 1000
- 34.55°, I 727
- 29.43°, I 401
- 38.87°, I 355
- 38.10°, I 344
- 59.00°, I 305
- 46.26°, I 243
- 48.40°, I 212
- 56.21°, I 174
- 63.73°, I 158

This entry pairs a crystal structure of Tb2GdIn3Ni3 with its calculated powder X-ray diffraction pattern. Radiation: Cu Ka. Structure: a structure optimized by DFT (GGA-PBE).
Intensities are scaled so that the largest is 1000.

Structural model:
a = 3.836 Å, b = 12.899 Å, c = 7.450 Å
α = 90.00°, β = 90.00°, γ = 90.00°
Space group Amm2 (No. 38)
One atom of each set of equivalent atoms:
Tb1 0.000 0.206 0.000
Gd1 0.000 0.000 0.618
In1 0.500 0.000 0.954
In2 0.500 0.126 0.332
Ni1 0.000 0.000 0.206
Ni2 0.500 0.167 0.706

The 10 most intense peaks (15 to 90 degrees two-theta), by intensity:
- 33.54°, I 1000
- 36.39°, I 762
- 36.87°, I 555
- 67.88°, I 243
- 61.52°, I 243
- 56.78°, I 243
- 42.02°, I 217
- 47.40°, I 206
- 51.05°, I 143
- 65.18°, I 113

This entry pairs a crystal structure of TbGdIn4Ni2 with its calculated powder X-ray diffraction pattern. Radiation: Cu Ka. Structure: a structure optimized by DFT (GGA-PBE).
Intensities are scaled so that the largest is 1000.

Structural model:
a = 7.396 Å, b = 4.350 Å, c = 10.492 Å
α = 90.00°, β = 90.00°, γ = 90.00°
Space group Amm2 (No. 38)
One atom of each set of equivalent atoms:
Tb1 0.000 0.000 0.000
Gd1 0.500 0.000 0.862
In1 0.200 0.000 0.288
In2 0.299 0.000 0.574
Ni1 0.000 0.000 0.718
Ni2 0.500 0.000 0.145

The 10 most intense peaks (15 to 90 degrees two-theta), by intensity:
- 32.90°, I 1000
- 35.09°, I 463
- 41.52°, I 278
- 36.34°, I 221
- 40.43°, I 218
- 41.14°, I 161
- 59.34°, I 139
- 65.92°, I 136
- 61.86°, I 134
- 56.35°, I 122